For LiSm4Ti2Mn2O12, a DFT-relaxed cell (PBE+U, Alexandria) gives the computed X-ray powder pattern in this record (CuKα).

The 8 most intense peaks (2θ from 15° to 90°), low angle first:
| Position (°2θ) | I_rel | (hkl) |
| --- | --- | --- |
| 22.55 | 29 | 0 0 2 |
| 25.01 | 35 | -1 1 1 |
| 31.11 | 35 | 1 1 2 |
| 31.65 | 25 | 0 2 1 |
| 31.84 | 100 | 1 1 -2 |
| 31.95 | 54 | -1 1 2 |
| 32.78 | 39 | 2 0 0 |
| 45.45 | 33 | 0 2 3 |

Crystal structure
Cell lengths 5.4676, 6.0269, 7.8861 Å; angles 89.14, 89.07, 88.36 degrees
Fractional positions:
1 Li 0.0000 0.0000 0.0000
2 Sm 0.1223 0.1527 0.6014
3 Sm 0.1833 0.3413 0.1416
4 Sm 0.5819 0.8174 0.1062
5 Sm 0.6524 0.6641 0.5926
6 Ti 0.1193 0.6836 0.8366
7 Ti 0.6521 0.2335 0.3606
8 Mn 0.1302 0.7471 0.3576
9 Mn 0.6214 0.2399 0.8560
10 O 0.0124 0.7056 0.0876
11 O 0.2553 0.7766 0.6203
12 O 0.3141 0.0581 0.9363
13 O 0.3444 0.0526 0.3124
14 O 0.4266 0.5564 0.9170
15 O 0.4659 0.5465 0.3010
16 O 0.5207 0.2854 0.5947
17 O 0.7790 0.1849 0.1175
18 O 0.8246 0.9442 0.4262
19 O 0.8458 0.9112 0.7995
20 O 0.9468 0.4394 0.7800
21 O 0.9501 0.4190 0.4079